Diffraction record for LiSbTe2. The powder XRD pattern is simulated, not measured: it uses a crystal structure in the Materials Project, relaxed with GGA-PBE and Cu Kα.

Largest 10 diffraction maxima, sorted by position, 2θ from 10° to 90°:
2θ (°)  I (rel.)  hkl
14.56  25  0 0 1
20.47  23  1 0 0
25.21  31  1 0 1
29.10  100  1 1 0
29.36  49  0 0 2
41.63  38  2 0 0
41.81  74  1 1 2
51.75  40  2 0 2
68.36  17  3 1 0
76.10  25  3 1 2

Crystal structure
```
data_LiSbTe2
_chemical_formula_sum 'Li1 Sb1 Te2'
_space_group_name_H-M_alt 'P 4/m m m'
_space_group_IT_number 123
_space_group_name_Hall '-P 4 2'
_cell_length_a 4.3393
_cell_length_b 4.3393
_cell_length_c 6.0846
_cell_angle_alpha 90.00
_cell_angle_beta 90.00
_cell_angle_gamma 90.00
loop_
_atom_site_label
_atom_site_fract_x
_atom_site_fract_y
_atom_site_fract_z
_atom_site_occupancy
Li1 0.0000 0.0000 0.0000 1
Sb1 0.5000 0.5000 0.5000 1
Te1 0.0000 0.0000 0.5000 1
Te2 0.5000 0.5000 0.0000 1
```